# 1
# Tb12DySc2
Simulated powder X-ray diffraction pattern, Cu Kα (weighted mean of Kα1 and Kα2). Input: a cell relaxed with GGA-PBE.
Peak positions follow from Bragg's law for the DFT cell and can differ from measured ones.

Principal peaks in the range 10 to 90 degrees two-theta, low angle first:
Position (°2θ)  Rel. int.  (hkl)
26.31  36.2  2 0 0
29.44  71.3  0 2 7
31.13  63.6  1 3 -4
31.36  48.9  0 0 9
31.69  72.9  2 2 -2
32.35  46.7  2 0 5
32.47  100.0  0 2 8
32.94  50.2  2 0 -6
33.19  47.5  0 4 0
33.49  41.4  1 3 5

Crystal structure
```
data_Tb12DySc2
_cell_length_a 6.7819
_cell_length_b 10.7980
_cell_length_c 25.6990
_cell_angle_alpha 90.00
_cell_angle_beta 92.72
_cell_angle_gamma 90.00
_symmetry_space_group_name_H-M 'C 1 2/m 1'
_symmetry_Int_Tables_number 12
loop_
_symmetry_equiv_pos_as_xyz
'x,y,z'
'-x,-y,-z'
'-x,y,-z'
'x,-y,z'
'x+1/2,y+1/2,z'
'-x+1/2,-y+1/2,-z'
'-x+1/2,y+1/2,-z'
'x+1/2,-y+1/2,z'
loop_
_atom_site_label
_atom_site_fract_x
_atom_site_fract_y
_atom_site_fract_z
_atom_site_occupancy
Tb1 0.0146 0.2464 0.0712 1
Tb2 0.1489 0.1691 0.4469 1
Tb3 0.1558 0.5000 0.4430 1
Tb4 0.1748 0.1799 0.6668 1
Tb5 0.2086 0.2634 0.7974 1
Tb6 0.2128 0.5000 0.6538 1
Tb7 0.2222 0.5000 0.8735 1
Tb8 0.2290 0.0000 0.8662 1
Dy1 0.2483 0.5000 0.0034 1
Sc1 0.0354 0.0000 0.2406 1
Sc2 0.0597 0.5000 0.2471 1
```

# 2
# TbDy12Sc6
Simulated powder X-ray diffraction pattern, Cu Kα (weighted mean of Kα1 and Kα2). Input: a cell relaxed with GGA-PBE.
Peak positions follow from Bragg's law for the DFT cell and can differ from measured ones.

Principal peaks in the range 10 to 90 degrees two-theta, low angle first:
Position (°2θ)  Rel. int.  (hkl)
24.13  17.3  2 2 0
27.03  20.3  3 0 1
29.67  100.0  2 2 2
32.11  95.0  3 1 2
34.39  53.2  4 0 0
36.55  17.3  3 3 0
38.60  18.4  4 2 0
51.06  25.0  5 3 0
54.21  34.8  5 2 3
63.02  22.3  5 3 4

Crystal structure
```
data_TbDy12Sc6
_cell_length_a 10.4301
_cell_length_b 10.4301
_cell_length_c 10.4301
_cell_angle_alpha 90.00
_cell_angle_beta 90.00
_cell_angle_gamma 90.00
_symmetry_space_group_name_H-M 'I m -3'
_symmetry_Int_Tables_number 204
_symmetry_space_group_name_Hall '-I 2 2 3'
loop_
_atom_site_label
_atom_site_fract_x
_atom_site_fract_y
_atom_site_fract_z
_atom_site_occupancy
Tb1 0.0000 0.0000 0.0000 1
Dy1 0.0000 0.2668 0.1969 1
Sc1 0.0000 0.1377 0.5000 1
```

# 3
# Tb4Dy6Sc
Simulated powder X-ray diffraction pattern, Cu Kα (weighted mean of Kα1 and Kα2). Input: a cell relaxed with GGA-PBE.
Peak positions follow from Bragg's law for the DFT cell and can differ from measured ones.

Principal peaks in the range 10 to 90 degrees two-theta, low angle first:
Position (°2θ)  Rel. int.  (hkl)
30.70  59.2  1 1 7
30.92  47.8  0 2 7
31.68  64.1  2 0 0
32.31  100.0  1 3 0
32.50  19.1  1 3 1
33.66  57.1  1 1 8
44.85  34.4  2 2 7
47.65  14.3  0 4 8
56.85  38.4  3 3 0
58.36  15.7  2 4 8

Crystal structure
```
data_Tb4Dy6Sc
_cell_length_a 5.6493
_cell_length_b 9.5390
_cell_length_c 25.4576
_cell_angle_alpha 90.00
_cell_angle_beta 90.00
_cell_angle_gamma 90.00
_symmetry_space_group_name_H-M 'C m c m'
_symmetry_Int_Tables_number 63
_symmetry_space_group_name_Hall '-C 2c 2'
loop_
_atom_site_label
_atom_site_fract_x
_atom_site_fract_y
_atom_site_fract_z
_atom_site_occupancy
Tb1 0.0000 0.0311 0.1218 1
Tb2 0.0000 0.3442 0.0441 1
Dy1 0.0000 0.0000 0.0000 1
Dy2 0.0000 0.0241 0.2500 1
Dy3 0.0000 0.3079 0.6078 1
Dy4 0.0000 0.3592 0.1832 1
Sc1 0.0000 0.3104 0.7500 1
```

# 4
# TbDy3Sc6
Simulated powder X-ray diffraction pattern, Cu Kα (weighted mean of Kα1 and Kα2). Input: a cell relaxed with GGA-PBE.
Peak positions follow from Bragg's law for the DFT cell and can differ from measured ones.

Principal peaks in the range 10 to 90 degrees two-theta, low angle first:
Position (°2θ)  Rel. int.  (hkl)
18.08  100.0  0 2 1
25.01  23.4  0 4 1
29.89  21.8  0 6 0
30.19  63.2  3 1 1
30.35  31.8  2 4 1
32.16  26.2  0 2 2
33.40  88.4  3 3 1
33.66  65.1  0 6 1
35.11  29.3  2 0 2
35.86  43.5  3 5 0

Crystal structure
```
data_TbDy3Sc6
_cell_length_a 10.4880
_cell_length_b 17.9388
_cell_length_c 5.8542
_cell_angle_alpha 90.00
_cell_angle_beta 90.00
_cell_angle_gamma 90.00
_symmetry_space_group_name_H-M 'C m c 21'
_symmetry_Int_Tables_number 36
loop_
_symmetry_equiv_pos_as_xyz
'x,y,z'
'-x,-y,z+1/2'
'-x,y,z'
'x,-y,z+1/2'
'x+1/2,y+1/2,z'
'-x+1/2,-y+1/2,z+1/2'
'-x+1/2,y+1/2,z'
'x+1/2,-y+1/2,z+1/2'
loop_
_atom_site_label
_atom_site_fract_x
_atom_site_fract_y
_atom_site_fract_z
_atom_site_occupancy
Tb1 0.0000 0.2121 0.0000 1
Dy1 0.0000 0.3966 0.8971 1
Dy2 0.1760 0.1049 0.3032 1
Sc1 0.0000 0.0489 0.7672 1
Sc2 0.0000 0.2899 0.4702 1
Sc3 0.1673 0.4468 0.3527 1
Sc4 0.2411 0.2151 0.6974 1
```